# 1
Diffraction record for RbPr6C2I12. The X-ray powder pattern is computed, not measured: it uses a DFT-relaxed cell (PBE, Alexandria) and Cu Kα (weighted mean of Kα1 and Kα2).

Most intense lines, 10 to 90 degrees two-theta, low angle first:
index	d/Å	Position (°2θ)	I (rel.)
1 -1 2	3.642	24.44	31
0 1 3	3.248	27.46	100
3 0 1	3.102	28.78	82
1 3 0	3.069	29.10	87
-3 1 2	2.225	40.54	32
1 2 -3	2.219	40.67	31

Structure:
Cell: 9.773 9.797 10.277 Å, 71.14 72.27 72.96°
Space group P-1 (No. 2)
Inequivalent atoms, fractional coordinates:
Rb  0.000  0.000  0.000 x1
Pr  0.232  0.590  0.474 x2
Pr  0.391  0.526  0.805 x2
Pr  0.467  0.230  0.590 x2
C  0.476  0.506  0.570 x2
I  0.066  0.651  0.776 x2
I  0.132  0.282  0.569 x2
I  0.221  0.927  0.351 x2
I  0.279  0.586  0.142 x2
I  0.337  0.202  0.920 x2
I  0.430  0.865  0.707 x2



# 2
Diffraction record for Pr8Ru3CI3. The X-ray powder pattern is computed, not measured: it uses a DFT-relaxed cell (PBE, Alexandria) and Cu Kα (weighted mean of Kα1 and Kα2).

Most intense lines, 10 to 90 degrees two-theta, low angle first:
index	d/Å	Position (°2θ)	I (rel.)
0 0 3	8.273	10.69	26
0 2 4	3.093	28.86	100
2 0 5	2.897	30.86	22
0 2 7	2.515	35.70	19
2 0 8	2.342	38.44	23
2 2 0	2.060	43.95	42

Structure:
Cell: 8.2409 8.2409 24.8189 Å, 90.00 90.00 120.00°
Space group R-3m (No. 166, hexagonal axes)
Inequivalent atoms, fractional coordinates:
Pr  0.0000  0.0000  0.2313 x6
Pr  0.0183  0.5092  0.2234 x18
Ru  0.0000  0.5000  0.5000 x9
C  0.0000  0.0000  0.5000 x3
I  0.0000  0.5000  0.0000 x9



# 3
Diffraction record for TlSbCI2. The X-ray powder pattern is computed, not measured: it uses a DFT-relaxed cell (PBE, Alexandria) and Cu Kα (weighted mean of Kα1 and Kα2).

Most intense lines, 10 to 90 degrees two-theta, low angle first:
index	d/Å	Position (°2θ)	I (rel.)
1 1 1	3.021	29.57	100
2 0 0	2.910	30.73	49
2 2 0	2.058	44.01	18
2 0 2	1.767	51.72	22
3 1 1	1.701	53.91	37
2 2 2	1.511	61.37	13

Structure:
Cell: 5.820 5.820 4.449 Å, 90.00 90.00 90.00°
Space group P4/mmm (No. 123)
Inequivalent atoms, fractional coordinates:
Tl  0.000  0.000  0.000 x1
Sb  0.500  0.500  0.000 x1
C  0.500  0.500  0.500 x1
I  0.000  0.500  0.500 x2



# 4
Diffraction record for Sc3CI3. The X-ray powder pattern is computed, not measured: it uses a DFT-relaxed cell (PBE, Alexandria) and Cu Kα (weighted mean of Kα1 and Kα2).

Most intense lines, 10 to 90 degrees two-theta, low angle first:
index	d/Å	Position (°2θ)	I (rel.)
2 0 -2	3.480	25.60	37
2 0 2	3.383	26.34	33
0 1 2	3.190	27.97	46
0 0 4	3.061	29.17	36
2 1 0	2.775	32.26	100
2 1 -4	2.077	43.57	23

Structure:
Cell: 8.288 3.738 12.251 Å, 90.00 91.75 90.00°
Space group P2_1/m (No. 11)
Inequivalent atoms, fractional coordinates:
Sc  0.077  0.250  0.412 x2
Sc  0.108  0.250  0.778 x2
Sc  0.280  0.750  0.605 x2
C  0.113  0.250  0.601 x2
I  0.132  0.250  0.152 x2
I  0.362  0.750  0.846 x2
I  0.381  0.750  0.380 x2



# 5
Diffraction record for Sc7CI12. The X-ray powder pattern is computed, not measured: it uses a DFT-relaxed cell (PBE, Alexandria) and Cu Kα (weighted mean of Kα1 and Kα2).

Most intense lines, 10 to 90 degrees two-theta, low angle first:
index	d/Å	Position (°2θ)	I (rel.)
4 -3 1	3.453	25.80	79
0 0 3	3.327	26.80	24
3 1 2	2.962	30.17	100
2 5 0	2.125	42.55	35
4 -3 4	2.065	43.84	32
7 -2 3	1.791	51.00	28

Structure:
Cell: 15.3220 15.3220 9.9803 Å, 90.00 90.00 120.00°
Space group R3 (No. 146, hexagonal axes)
Inequivalent atoms, fractional coordinates:
Sc  0.0000  0.0000  0.0000 x3
Sc  0.0404  0.1400  0.3999 x9
Sc  0.1356  0.0966  0.6617 x9
C  0.0000  0.0000  0.5255 x3
I  0.0396  0.5943  0.1932 x9
I  0.0529  0.1819  0.8566 x9
I  0.1145  0.3722  0.1940 x9
I  0.1699  0.1203  0.1929 x9



# 6
Diffraction record for SmYCI. The X-ray powder pattern is computed, not measured: it uses a DFT-relaxed cell (PBE, Alexandria) and Cu Kα (weighted mean of Kα1 and Kα2).

Most intense lines, 10 to 90 degrees two-theta, low angle first:
index	d/Å	Position (°2θ)	I (rel.)
1 0 1	3.262	27.34	53
1 0 4	2.848	31.41	96
0 1 5	2.664	33.64	100
0 0 9	2.514	35.71	32
1 1 0	1.903	47.79	46
1 1 9	1.517	61.07	40

Structure:
Cell: 3.8061 3.8061 22.6270 Å, 90.00 90.00 120.00°
Space group R3m (No. 160, hexagonal axes)
Inequivalent atoms, fractional coordinates:
Sm  0.0000  0.0000  0.0000 x3
Y  0.0000  0.0000  0.2189 x3
C  0.0000  0.0000  0.6055 x3
I  0.0000  0.0000  0.7786 x3



# 7
Diffraction record for TaCI. The X-ray powder pattern is computed, not measured: it uses a DFT-relaxed cell (PBE, Alexandria) and Cu Kα (weighted mean of Kα1 and Kα2).

Most intense lines, 10 to 90 degrees two-theta, low angle first:
index	d/Å	Position (°2θ)	I (rel.)
1 1 0	3.647	24.40	100
1 1 -2	3.235	27.57	80
2 0 -1	3.112	28.68	60
1 1 2	2.800	31.97	51
1 1 3	2.350	38.30	85
1 1 -4	2.302	39.13	55

Structure:
Cell: 6.229 4.582 10.836 Å, 90.00 104.66 90.00°
Space group Cm (No. 8)
Inequivalent atoms, fractional coordinates:
Ta  0.000  0.000  0.000 x2
Ta  0.183  0.500  0.161 x2
C  0.344  0.164  0.081 x4
I  0.066  0.500  0.805 x2
I  0.316  0.500  0.414 x2



# 8
Diffraction record for Tb3CI7. The X-ray powder pattern is computed, not measured: it uses a DFT-relaxed cell (PBE, Alexandria) and Cu Kα (weighted mean of Kα1 and Kα2).

Most intense lines, 10 to 90 degrees two-theta, low angle first:
index	d/Å	Position (°2θ)	I (rel.)
0 0 1	7.760	11.40	54
2 0 1	3.339	26.70	100
2 0 2	2.677	33.47	61
2 2 0	2.136	42.32	34
0 2 3	2.120	42.65	32
0 4 1	1.799	50.75	16

Structure:
Cell: 8.5424 8.5424 7.7599 Å, 90.00 90.00 120.00°
Space group P3m1 (No. 156)
Inequivalent atoms, fractional coordinates:
Tb  0.0240  0.5120  0.0000 x3
C  0.3333  0.6667  0.0831 x1
I  0.1649  0.3298  0.7548 x3
I  0.3348  0.1674  0.2216 x3
I  0.6667  0.3333  0.7640 x1



# 9
Diffraction record for Tc2C2I. The X-ray powder pattern is computed, not measured: it uses a DFT-relaxed cell (PBE, Alexandria) and Cu Kα (weighted mean of Kα1 and Kα2).

Most intense lines, 10 to 90 degrees two-theta, low angle first:
index	d/Å	Position (°2θ)	I (rel.)
1 0 3	2.621	34.21	100
1 1 0	2.514	35.71	39
2 0 0	1.778	51.40	17
1 1 6	1.535	60.27	20
2 1 3	1.471	63.20	33
2 0 6	1.310	72.07	10

Structure:
Cell: 3.556 3.556 11.635 Å, 90.00 90.00 90.00°
Space group I4/mmm (No. 139)
Inequivalent atoms, fractional coordinates:
Tc  0.000  0.000  0.162 x4
C  0.000  0.500  0.250 x4
I  0.000  0.000  0.500 x2



# 10
Diffraction record for TeCI. The X-ray powder pattern is computed, not measured: it uses a DFT-relaxed cell (PBE, Alexandria) and Cu Kα (weighted mean of Kα1 and Kα2).

Most intense lines, 10 to 90 degrees two-theta, low angle first:
index	d/Å	Position (°2θ)	I (rel.)
1 0 0	5.354	16.56	100
0 1 1	4.992	17.77	48
0 0 2	4.653	19.07	86
1 0 -2	3.266	27.31	35
1 2 1	2.868	31.18	48
2 0 1	2.686	33.36	27

Structure:
Cell: 5.809 5.811 9.663 Å, 77.19 77.01 68.91°
Space group P1 (No. 1)
Inequivalent atoms, fractional coordinates:
Te  0.000  0.000  0.000 x1
Te  0.191  0.188  0.437 x1
C  0.090  0.054  0.785 x1
C  0.135  0.098  0.652 x1
I  0.140  0.450  0.026 x1
I  0.742  0.047  0.411 x1



# 11
Diffraction record for VCI. The X-ray powder pattern is computed, not measured: it uses a DFT-relaxed cell (PBE, Alexandria) and Cu Kα (weighted mean of Kα1 and Kα2).

Most intense lines, 10 to 90 degrees two-theta, low angle first:
index	d/Å	Position (°2θ)	I (rel.)
1 0 1	3.613	24.64	100
0 0 3	3.172	28.14	26
1 1 0	2.762	32.41	40
1 1 3	2.083	43.45	24
1 0 4	2.032	44.60	31
2 1 1	1.718	53.32	23

Structure:
Cell: 3.906 3.906 9.515 Å, 90.00 90.00 90.00°
Space group P4/nmm (No. 129, origin choice 2)
Inequivalent atoms, fractional coordinates:
V  0.250  0.250  0.037 x2
C  0.250  0.750  0.000 x2
I  0.250  0.250  0.305 x2



# 12
Diffraction record for VCI2. The X-ray powder pattern is computed, not measured: it uses a DFT-relaxed cell (PBE, Alexandria) and Cu Kα (weighted mean of Kα1 and Kα2).

Most intense lines, 10 to 90 degrees two-theta, low angle first:
index	d/Å	Position (°2θ)	I (rel.)
2 0 0	3.428	25.99	47
2 2 0	2.424	37.09	100
2 2 2	1.979	45.85	14
4 0 0	1.714	53.46	17
4 2 0	1.533	60.38	19
4 2 2	1.400	66.85	33

Structure:
Cell: 6.856 6.856 6.856 Å, 90.00 90.00 90.00°
Space group Fm-3m (No. 225)
Inequivalent atoms, fractional coordinates:
V  0.000  0.000  0.000 x4
C  0.000  0.000  0.500 x4
I  0.250  0.250  0.250 x8